For CaPd12, a DFT-relaxed cell (PBE, Alexandria) gives the calculated powder diffraction line list in this record (CuKα).
Kinematic intensities with the Lorentz-polarization factor, no thermal factor.

```
CaPd12
1.0
0.000 5.367 5.367
5.367 0.000 5.367
5.367 5.367 0.000
Ca Pd
1 12
direct
0.000 0.000 0.000 Ca
0.162 0.500 0.500 Pd
0.162 0.500 0.838 Pd
0.162 0.838 0.500 Pd
0.500 0.162 0.500 Pd
0.500 0.162 0.838 Pd
0.500 0.500 0.162 Pd
0.500 0.500 0.838 Pd
0.500 0.838 0.162 Pd
0.500 0.838 0.500 Pd
0.838 0.162 0.500 Pd
0.838 0.500 0.162 Pd
0.838 0.500 0.500 Pd
```

Most intense lines, 15° ≤ 2θ ≤ 90°, by angle:
- 2θ = 23.44°, intensity 38
- 2θ = 27.56°, intensity 76
- 2θ = 28.81°, intensity 28
- 2θ = 41.20°, intensity 26
- 2θ = 43.83°, intensity 100
- 2θ = 50.29°, intensity 31
- 2θ = 51.05°, intensity 57
- 2θ = 75.10°, intensity 34

***

For Tl2AgPbBr5, a DFT-relaxed cell (PBE, Alexandria) gives the calculated powder diffraction line list in this record (CuKα).
Kinematic intensities with the Lorentz-polarization factor, no thermal factor.

```
Tl2AgPbBr5
1.0
2.243 -9.714 0.000
2.243 9.714 0.000
0.000 0.000 14.301
Tl Ag Pb Br
4 2 2 10
direct
0.099 0.901 0.500 Tl
0.128 0.872 0.142 Tl
0.872 0.128 0.642 Tl
0.901 0.099 0.000 Tl
0.456 0.544 0.265 Ag
0.544 0.456 0.765 Ag
0.209 0.791 0.846 Pb
0.791 0.209 0.346 Pb
0.048 0.952 0.869 Br
0.283 0.717 0.493 Br
0.308 0.692 0.200 Br
0.362 0.638 0.826 Br
0.493 0.507 0.594 Br
0.507 0.493 0.094 Br
0.638 0.362 0.326 Br
0.692 0.308 0.700 Br
0.717 0.283 0.993 Br
0.952 0.048 0.369 Br
```

Most intense lines, 15° ≤ 2θ ≤ 90°, by angle:
- 2θ = 20.76°, intensity 33
- 2θ = 23.86°, intensity 17
- 2θ = 27.69°, intensity 100
- 2θ = 28.26°, intensity 51
- 2θ = 32.97°, intensity 41
- 2θ = 40.22°, intensity 41
- 2θ = 49.87°, intensity 21
- 2θ = 62.17°, intensity 14

***

For Ac5Tl2Ru2, a DFT-relaxed cell (PBE, Alexandria) gives the calculated powder diffraction line list in this record (CuKα).
Kinematic intensities with the Lorentz-polarization factor, no thermal factor.

```
Ac5Tl2Ru2
1.0
8.715 -4.091 0.000
8.715 4.091 0.000
0.000 0.000 8.362
Ac Tl Ru
10 4 4
direct
0.000 0.000 0.000 Ac
0.049 0.723 0.664 Ac
0.223 0.549 0.164 Ac
0.277 0.951 0.664 Ac
0.451 0.777 0.164 Ac
0.500 0.500 0.500 Ac
0.549 0.223 0.836 Ac
0.723 0.049 0.336 Ac
0.777 0.451 0.836 Ac
0.951 0.277 0.336 Ac
0.217 0.217 0.000 Tl
0.283 0.283 0.500 Tl
0.717 0.717 0.500 Tl
0.783 0.783 0.000 Tl
0.136 0.864 0.363 Ru
0.364 0.636 0.863 Ru
0.636 0.364 0.137 Ru
0.864 0.136 0.637 Ru
```

Most intense lines, 15° ≤ 2θ ≤ 90°, by angle:
- 2θ = 29.61°, intensity 70
- 2θ = 29.84°, intensity 85
- 2θ = 29.96°, intensity 66
- 2θ = 30.57°, intensity 57
- 2θ = 31.85°, intensity 100
- 2θ = 34.38°, intensity 73
- 2θ = 34.98°, intensity 68
- 2θ = 35.27°, intensity 67

***

For TlH6I3, a DFT-relaxed cell (PBE, Alexandria) gives the calculated powder diffraction line list in this record (CuKα).
Kinematic intensities with the Lorentz-polarization factor, no thermal factor.

```
TlH6I3
1.0
6.165 3.560 4.579
-6.165 3.560 4.579
0.000 -7.119 4.579
Tl H I
2 12 6
direct
0.000 0.000 0.000 Tl
0.500 0.500 0.500 Tl
0.081 0.856 0.833 H
0.144 0.167 0.919 H
0.167 0.919 0.144 H
0.333 0.356 0.581 H
0.356 0.581 0.333 H
0.419 0.667 0.644 H
0.581 0.333 0.356 H
0.644 0.419 0.667 H
0.667 0.644 0.419 H
0.833 0.081 0.856 H
0.856 0.833 0.081 H
0.919 0.144 0.167 H
0.225 0.275 0.750 I
0.250 0.775 0.725 I
0.275 0.750 0.225 I
0.725 0.250 0.775 I
0.750 0.225 0.275 I
0.775 0.725 0.250 I
```

Most intense lines, 15° ≤ 2θ ≤ 90°, by angle:
- 2θ = 15.34°, intensity 100
- 2θ = 25.60°, intensity 56
- 2θ = 28.96°, intensity 59
- 2θ = 30.95°, intensity 63
- 2θ = 32.93°, intensity 31
- 2θ = 42.10°, intensity 16
- 2θ = 42.91°, intensity 19
- 2θ = 52.60°, intensity 20

***

For PmNd12Er6, a DFT-relaxed cell (PBE, Alexandria) gives the calculated powder diffraction line list in this record (CuKα).
Kinematic intensities with the Lorentz-polarization factor, no thermal factor.

```
PmNd12Er6
1.0
-5.457 5.457 5.457
5.457 -5.457 5.457
5.457 5.457 -5.457
Pm Nd Er
1 12 6
direct
0.000 0.000 0.000 Pm
0.067 0.264 0.803 Nd
0.197 0.461 0.264 Nd
0.197 0.933 0.736 Nd
0.264 0.197 0.461 Nd
0.264 0.803 0.067 Nd
0.461 0.264 0.197 Nd
0.539 0.736 0.803 Nd
0.736 0.197 0.933 Nd
0.736 0.803 0.539 Nd
0.803 0.067 0.264 Nd
0.803 0.539 0.736 Nd
0.933 0.736 0.197 Nd
0.142 0.500 0.642 Er
0.358 0.858 0.500 Er
0.500 0.358 0.858 Er
0.500 0.642 0.142 Er
0.642 0.142 0.500 Er
0.858 0.500 0.358 Er
```

Most intense lines, 15° ≤ 2θ ≤ 90°, by angle:
- 2θ = 28.33°, intensity 34
- 2θ = 30.65°, intensity 100
- 2θ = 32.82°, intensity 33
- 2θ = 34.87°, intensity 20
- 2θ = 42.22°, intensity 14
- 2θ = 50.15°, intensity 18
- 2θ = 51.62°, intensity 22
- 2θ = 54.48°, intensity 15